Structure and calculated powder diffraction line list of DyTiSi (a crystal structure in the Materials Project, relaxed with GGA-PBE; Cu Kα).

Structure:
```
DyTiSi
1.0
4.0369 0.0000 0.0000
0.0000 4.0369 0.0000
0.0000 0.0000 7.5644
Dy Ti Si
2 2 2
Direct
0.2500 0.2500 0.1556
0.7500 0.7500 0.8444
0.2500 0.7500 0.5000
0.7500 0.2500 0.5000
0.2500 0.2500 0.7370
0.7500 0.7500 0.2630
```

Main lines, sorted by position (2θ from 15° to 90°):
- 2θ = 25.00°, intensity 88, hkl 1 0 1
- 2θ = 31.34°, intensity 47, hkl 1 1 0
- 2θ = 32.44°, intensity 100, hkl 1 0 2
- 2θ = 33.56°, intensity 71, hkl 1 1 1
- 2θ = 35.61°, intensity 32, hkl 0 0 3
- 2θ = 39.55°, intensity 45, hkl 1 1 2
- 2θ = 44.91°, intensity 48, hkl 2 0 0
- 2θ = 52.08°, intensity 25, hkl 2 1 1
- 2θ = 56.48°, intensity 41, hkl 2 1 2
- 2θ = 58.57°, intensity 44, hkl 2 0 3